Calculated XRD peak list
Compound: La4CuNiO8
Radiation: Cu Kα X-rays
Structure: a cell relaxed with PBE+U
No peak broadening, texture or thermal motion is included.

Principal peaks in the range 2θ = 5–70°, low angle first:
2theta  I (rel.)  h k l
23.92  30  0 0 2
27.58  17  4 0 0
30.81  35  2 0 2
30.99  72  3 1 0
31.31  38  4 0 -2
32.68  100  1 1 -2
41.93  29  6 0 0
43.02  20  3 1 2
43.52  19  5 1 -2
46.78  26  0 2 0
47.00  24  2 0 -4
57.06  24  2 2 2

Crystal structure
```
data_La4CuNiO8
_cell_length_a 13.447
_cell_length_b 3.884
_cell_length_c 7.734
_cell_angle_alpha 90.00
_cell_angle_beta 105.81
_cell_angle_gamma 90.00
_symmetry_space_group_name_H-M 'C 1 2/m 1'
_symmetry_Int_Tables_number 12
loop_
_symmetry_equiv_pos_as_xyz
'x,y,z'
'-x,-y,-z'
'-x,y,-z'
'x,-y,z'
'x+1/2,y+1/2,z'
'-x+1/2,-y+1/2,-z'
'-x+1/2,y+1/2,-z'
'x+1/2,-y+1/2,z'
loop_
_atom_site_label
_atom_site_fract_x
_atom_site_fract_y
_atom_site_fract_z
La1 0.132 0.000 0.307
La2 0.145 0.000 0.818
Cu1 0.000 0.500 0.500
Ni1 0.000 0.500 0.000
O1 0.000 0.000 0.000
O2 0.000 0.000 0.500
O3 0.015 0.500 0.263
O4 0.173 0.500 0.067
O5 0.193 0.500 0.635
```